The following is a simulated powder diffractogram of H12OsC4NO4F. It was derived from a structure optimized by DFT (PBE), using copper Kα.
No peak broadening, texture or thermal motion is included.

Atomic structure:
```
data_H12OsC4NO4F
_chemical_formula_sum 'H48 Os4 C16 N4 O16 F4'
_cell_length_a 7.5716
_cell_length_b 12.2681
_cell_length_c 11.6297
_cell_angle_alpha 90.00
_cell_angle_beta 90.00
_cell_angle_gamma 90.00
_symmetry_space_group_name_H-M 'A e m 2'
_symmetry_Int_Tables_number 39
loop_
_symmetry_equiv_pos_as_xyz
'x,y,z'
'-x,-y,z'
'-x,y+1/2,z'
'x,-y+1/2,z'
'x,y+1/2,z+1/2'
'-x,-y+1/2,z+1/2'
'-x,y,z+1/2'
'x,-y,z+1/2'
loop_
_atom_site_label
_atom_site_type_symbol
_atom_site_fract_x
_atom_site_fract_y
_atom_site_fract_z
H1 H 0.0094 0.1242 0.9998
H2 H 0.0623 0.1172 0.7447
H3 H 0.1554 0.1418 0.3893
H4 H 0.1881 0.0421 0.5000
H5 H 0.1998 0.0039 0.2448
H6 H 0.2292 0.0983 0.8529
Os1 Os 0.4422 0.2500 0.1469
C1 C 0.0900 0.0833 0.4462
C2 C 0.1327 0.0573 0.7976
N1 N 0.0000 0.0000 0.3723
O1 O 0.3277 0.2500 0.6591
O2 O 0.3992 0.1268 0.2162
O3 O 0.4172 0.2500 0.9983
F1 F 0.1592 0.2500 0.1426
```

The 10 most intense peaks (2θ from 15° to 90°), by angle:
(0 0 2), 15.24 deg, I 55
(1 1 1), 15.72 deg, I 35
(1 2 0), 18.62 deg, I 100
(1 0 2), 19.25 deg, I 89
(0 2 2), 21.05 deg, I 91
(1 2 2), 24.14 deg, I 40
(2 1 1), 25.79 deg, I 30
(0 4 2), 33.01 deg, I 29
(3 1 1), 37.18 deg, I 25
(4 1 1), 49.33 deg, I 27